[1]
Starting from the GGA-PBE geometry in Alexandria, the powder diffractogram of Ac2MnBiS6 was computed for Cu Kα.
Peak positions follow from Bragg's law for the DFT cell and can differ from measured ones.

Largest 6 diffraction maxima, most intense first, 2θ = 10–80°:
(hkl), 2theta, I/Imax
1 1 1, 23.72, 1000
3 1 1, 45.34, 372
2 0 0, 26.66, 360
2 0 2, 39.79, 345
2 2 0, 38.06, 282
1 1 3, 48.32, 154

Structure:
Cell lengths 6.688, 6.688, 6.161 Å; angles 90.00, 90.00, 90.00 degrees
Space group P4mm (No. 99)
Symmetry-distinct sites (fractional):
Ac  0.000  0.500  0.000 (multiplicity 2)
Mn  0.000  0.000  0.582 (multiplicity 1)
Bi  0.500  0.500  0.547 (multiplicity 1)
S  0.000  0.000  0.196 (multiplicity 1)
S  0.234  0.234  0.707 (multiplicity 4)
S  0.500  0.500  0.119 (multiplicity 1)

***

[2]
Starting from the GGA-PBE geometry in Alexandria, the powder diffractogram of Ac5Bi4N was computed for Cu Kα.
Peak positions follow from Bragg's law for the DFT cell and can differ from measured ones.

Largest 6 diffraction maxima, most intense first, 2θ = 10–80°:
(hkl), 2theta, I/Imax
3 1 0, 27.03, 1000
3 1 2, 37.84, 808
0 0 2, 25.97, 530
2 4 2, 47.12, 332
2 4 0, 38.60, 322
3 1 4, 60.87, 181

Structure:
Cell lengths 10.430, 10.430, 6.861 Å; angles 90.00, 90.00, 90.00 degrees
Space group I4 (No. 79)
Symmetry-distinct sites (fractional):
Ac  0.000  0.000  0.000 (multiplicity 2)
Ac  0.093  0.736  0.576 (multiplicity 8)
Bi  0.087  0.694  0.082 (multiplicity 8)
N  0.000  0.000  0.648 (multiplicity 2)

***

[3]
Starting from the GGA-PBE geometry in Alexandria, the powder diffractogram of Ac3BiN2 was computed for Cu Kα.
Peak positions follow from Bragg's law for the DFT cell and can differ from measured ones.

Largest 6 diffraction maxima, most intense first, 2θ = 10–80°:
(hkl), 2theta, I/Imax
2 2 1, 27.15, 1000
0 0 2, 28.74, 268
1 3 1, 27.72, 265
2 2 3, 49.95, 196
4 0 2, 46.54, 121
4 0 0, 35.80, 114

Structure:
Cell lengths 10.032, 12.169, 6.212 Å; angles 90.00, 90.00, 90.00 degrees
Space group Cmcm (No. 63)
Symmetry-distinct sites (fractional):
Ac  0.000  0.098  0.250 (multiplicity 4)
Ac  0.219  0.398  0.250 (multiplicity 8)
Bi  0.000  0.317  0.750 (multiplicity 4)
N  0.158  0.000  0.000 (multiplicity 8)

***

[4]
Starting from the GGA-PBE geometry in Alexandria, the powder diffractogram of Ac6Bi5N2 was computed for Cu Kα.
Peak positions follow from Bragg's law for the DFT cell and can differ from measured ones.

Largest 6 diffraction maxima, most intense first, 2θ = 10–80°:
(hkl), 2theta, I/Imax
0 4 1, 31.09, 1000
3 1 1, 28.48, 969
4 1 1, 33.53, 727
3 3 0, 26.74, 713
1 2 1, 23.84, 557
1 3 1, 27.42, 539

Structure:
Cell lengths 13.539, 14.841, 4.556 Å; angles 90.00, 90.00, 90.00 degrees
Space group Pbam (No. 55)
Symmetry-distinct sites (fractional):
Ac  0.017  0.136  0.000 (multiplicity 4)
Ac  0.189  0.297  0.500 (multiplicity 4)
Ac  0.201  0.592  0.000 (multiplicity 4)
Bi  0.000  0.500  0.500 (multiplicity 2)
Bi  0.068  0.712  0.500 (multiplicity 4)
Bi  0.147  0.986  0.500 (multiplicity 4)
N  0.176  0.214  0.000 (multiplicity 4)

***

[5]
Starting from the GGA-PBE geometry in Alexandria, the powder diffractogram of Ac4Bi2RhN2 was computed for Cu Kα.
Peak positions follow from Bragg's law for the DFT cell and can differ from measured ones.

Largest 6 diffraction maxima, most intense first, 2θ = 10–80°:
(hkl), 2theta, I/Imax
1 1 -2, 28.71, 1000
4 0 1, 29.45, 463
5 1 -1, 34.42, 458
1 1 1, 24.83, 346
4 0 -2, 25.28, 329
3 1 0, 27.11, 288

Structure:
Cell lengths 16.270, 4.349, 8.947 Å; angles 90.00, 111.96, 90.00 degrees
Space group C2/m (No. 12)
Symmetry-distinct sites (fractional):
Ac  0.029  0.000  0.301 (multiplicity 4)
Ac  0.212  0.500  0.638 (multiplicity 4)
Bi  0.100  0.500  0.039 (multiplicity 4)
Rh  0.000  0.500  0.500 (multiplicity 2)
N  0.178  0.000  0.488 (multiplicity 4)

***

[6]
Starting from the GGA-PBE geometry in Alexandria, the powder diffractogram of Ac4Bi2SN2 was computed for Cu Kα.
Peak positions follow from Bragg's law for the DFT cell and can differ from measured ones.

Largest 6 diffraction maxima, most intense first, 2θ = 10–80°:
(hkl), 2theta, I/Imax
1 1 -2, 28.94, 1000
3 1 3, 48.98, 471
5 1 -1, 34.57, 467
3 1 0, 26.95, 459
4 0 -2, 26.03, 450
1 1 1, 24.69, 422

Structure:
Cell lengths 15.960, 4.455, 8.606 Å; angles 90.00, 111.82, 90.00 degrees
Space group C2/m (No. 12)
Symmetry-distinct sites (fractional):
Ac  0.026  0.000  0.283 (multiplicity 4)
Ac  0.215  0.500  0.645 (multiplicity 4)
Bi  0.107  0.500  0.040 (multiplicity 4)
S  0.000  0.500  0.500 (multiplicity 2)
N  0.174  0.000  0.489 (multiplicity 4)

***

[7]
Starting from the GGA-PBE geometry in Alexandria, the powder diffractogram of Ac2Sm4Bi3N2 was computed for Cu Kα.
Peak positions follow from Bragg's law for the DFT cell and can differ from measured ones.

Largest 6 diffraction maxima, most intense first, 2θ = 10–80°:
(hkl), 2theta, I/Imax
1 1 6, 32.67, 1000
2 0 0, 36.83, 489
1 1 2, 26.65, 346
3 1 6, 63.73, 304
1 0 7, 29.47, 174
2 2 0, 53.07, 173

Structure:
Cell lengths 4.881, 4.881, 27.072 Å; angles 90.00, 90.00, 90.00 degrees
Space group I4/mmm (No. 139)
Symmetry-distinct sites (fractional):
Ac  0.000  0.000  0.191 (multiplicity 4)
Sm  0.000  0.500  0.081 (multiplicity 8)
Bi  0.000  0.000  0.327 (multiplicity 4)
Bi  0.000  0.000  0.500 (multiplicity 2)
N  0.000  0.000  0.099 (multiplicity 4)

***

[8]
Starting from the GGA-PBE geometry in Alexandria, the powder diffractogram of Sr2Ac4Bi3N2 was computed for Cu Kα.
Peak positions follow from Bragg's law for the DFT cell and can differ from measured ones.

Largest 6 diffraction maxima, most intense first, 2θ = 10–80°:
(hkl), 2theta, I/Imax
1 1 6, 31.19, 1000
2 0 0, 34.51, 486
3 1 6, 59.76, 330
1 1 2, 25.07, 254
1 1 4, 27.51, 233
2 2 0, 49.60, 177

Structure:
Cell lengths 5.199, 5.199, 27.510 Å; angles 90.00, 90.00, 90.00 degrees
Space group I4/mmm (No. 139)
Symmetry-distinct sites (fractional):
Sr  0.000  0.000  0.196 (multiplicity 4)
Ac  0.000  0.500  0.087 (multiplicity 8)
Bi  0.000  0.000  0.322 (multiplicity 4)
Bi  0.000  0.000  0.500 (multiplicity 2)
N  0.000  0.000  0.102 (multiplicity 4)